# Sb6Pb6S17
Theoretical X-ray diffraction stick pattern, Cu Kα, 1.54184 Å. Input: DFT lattice parameters and positions (GGA-PBE).

Main lines, by angle (2θ = 10–90°):
2θ/deg	I_rel	h k l
23.5	68	1 6 0
25.3	35	2 1 1
25.5	100	4 3 0
29.2	33	3 2 1
29.4	60	2 4 1
30.8	54	5 3 0
32.1	69	0 6 1
32.6	63	1 6 1
45.4	37	0 0 2
47.8	48	4 9 1

```
data_Sb6Pb6S17
_chemical_formula_sum 'Sb12 Pb12 S34'
_symmetry_space_group_name_H-M 'P 21 21 2'
_symmetry_Int_Tables_number 18
_cell_length_a 15.645
_cell_length_b 23.374
_cell_length_c 3.992
_cell_angle_alpha 90.00
_cell_angle_beta 90.00
_cell_angle_gamma 90.00
loop_
_symmetry_equiv_pos_as_xyz
'x,y,z'
'-x,-y,z'
'x+1/2,-y+1/2,-z'
'-x+1/2,y+1/2,-z'
loop_
_atom_site_label
_atom_site_fract_x
_atom_site_fract_y
_atom_site_fract_z
Sb1 0.058 0.242 0.488
Sb2 0.065 0.930 0.474
Sb3 0.176 0.102 0.501
Pb1 0.079 0.625 0.001
Pb2 0.179 0.796 0.996
Pb3 0.202 0.462 0.002
S1 0.000 0.500 0.777
S2 0.020 0.851 0.009
S3 0.045 0.431 0.497
S4 0.090 0.721 0.497
S5 0.099 0.308 0.003
S6 0.124 0.004 0.006
S7 0.186 0.553 0.495
S8 0.209 0.886 0.501
S9 0.226 0.165 0.004
```